Record 1
This entry pairs a crystal structure of TmSiPt2 with its computed PXRD pattern. Radiation: a wavelength of 1.5418 Å. Structure: a structure optimized by DFT (PBE).
Neutral-atom scattering factors, no anomalous dispersion.

Unit cell a=7.2681 b=6.9573 c=5.4894 alpha=90.00 beta=90.00 gamma=90.00
Fractional coordinates of all 16 atoms:
Tm  0.0285  0.2500  0.1372
Tm  0.4715  0.7500  0.6372
Tm  0.5285  0.2500  0.3628
Tm  0.9715  0.7500  0.8628
Si  0.1188  0.7500  0.3631
Si  0.3812  0.2500  0.8631
Si  0.6188  0.7500  0.1369
Si  0.8812  0.2500  0.6369
Pt  0.1825  0.0501  0.5921
Pt  0.1825  0.4499  0.5921
Pt  0.3175  0.5501  0.0921
Pt  0.3175  0.9499  0.0921
Pt  0.6825  0.0501  0.9079
Pt  0.6825  0.4499  0.9079
Pt  0.8175  0.5501  0.4079
Pt  0.8175  0.9499  0.4079

The 10 most intense peaks (5° ≤ 2θ ≤ 70°), by angle:
Position (°2θ)	d_spacing	I_rel
32.22	2.778	51
32.88	2.724	75
34.94	2.568	87
35.73	2.513	100
37.33	2.409	70
39.44	2.285	43
40.71	2.216	90
43.82	2.066	53
44.19	2.050	61
65.24	1.430	67

Record 2
This entry pairs a crystal structure of USi2Pt2 with its computed PXRD pattern. Radiation: a wavelength of 1.5418 Å. Structure: a structure optimized by DFT (PBE).
Neutral-atom scattering factors, no anomalous dispersion.

Unit cell a=4.0556 b=4.0556 c=10.3793 alpha=90.00 beta=90.00 gamma=90.00
Fractional coordinates of all 10 atoms:
U  0.0000  0.0000  0.0000
U  0.5000  0.5000  0.5000
Si  0.0000  0.0000  0.3894
Si  0.0000  0.0000  0.6106
Si  0.5000  0.5000  0.1106
Si  0.5000  0.5000  0.8894
Pt  0.0000  0.5000  0.2500
Pt  0.0000  0.5000  0.7500
Pt  0.5000  0.0000  0.2500
Pt  0.5000  0.0000  0.7500

The 10 most intense peaks (5° ≤ 2θ ≤ 70°), by angle:
Position (°2θ)	d_spacing	I_rel
17.09	5.190	9
23.55	3.777	24
34.06	2.632	19
34.57	2.595	22
35.77	2.510	100
44.69	2.028	31
57.36	1.606	9
57.70	1.598	21
62.72	1.481	18
65.05	1.434	10

Record 3
This entry pairs a crystal structure of USi2Pt2 with its computed PXRD pattern. Radiation: a wavelength of 1.5418 Å. Structure: a structure optimized by DFT (PBE).
Neutral-atom scattering factors, no anomalous dispersion.

Unit cell a=4.1880 b=4.1880 c=9.9185 alpha=90.00 beta=90.00 gamma=90.00
Fractional coordinates of all 10 atoms:
U  0.2500  0.2500  0.2463
U  0.7500  0.7500  0.7537
Si  0.2500  0.2500  0.6354
Si  0.2500  0.7500  0.0000
Si  0.7500  0.2500  0.0000
Si  0.7500  0.7500  0.3646
Pt  0.2500  0.2500  0.8769
Pt  0.2500  0.7500  0.5000
Pt  0.7500  0.2500  0.5000
Pt  0.7500  0.7500  0.1231

The 10 most intense peaks (5° ≤ 2θ ≤ 70°), by angle:
Position (°2θ)	d_spacing	I_rel
26.97	3.306	20
27.88	3.200	21
31.53	2.838	55
34.56	2.595	78
35.30	2.543	100
43.20	2.094	64
50.94	1.793	26
56.47	1.630	39
62.75	1.481	22
68.96	1.362	21

Record 4
This entry pairs a crystal structure of USiPt with its computed PXRD pattern. Radiation: a wavelength of 1.5418 Å. Structure: a structure optimized by DFT (PBE).
Neutral-atom scattering factors, no anomalous dispersion.

Unit cell a=10.0736 b=4.3041 c=6.9100 alpha=90.00 beta=131.32 gamma=90.00
Fractional coordinates of all 12 atoms:
U  0.0542  0.0000  0.3229
U  0.4458  0.5000  0.6771
U  0.5542  0.5000  0.3229
U  0.9458  0.0000  0.6771
Si  0.1525  0.5000  0.0891
Si  0.3475  0.0000  0.9109
Si  0.6525  0.0000  0.0891
Si  0.8475  0.5000  0.9109
Pt  0.1793  0.5000  0.7289
Pt  0.3207  0.0000  0.2711
Pt  0.6793  0.0000  0.7289
Pt  0.8207  0.5000  0.2711

The 10 most intense peaks (5° ≤ 2θ ≤ 70°), by angle:
Position (°2θ)	d_spacing	I_rel
23.78	3.741	24
24.37	3.653	29
33.80	2.652	81
34.57	2.595	35
35.07	2.559	24
35.68	2.516	100
38.42	2.343	32
41.50	2.176	48
41.98	2.152	42
58.21	1.585	20

Record 5
This entry pairs a crystal structure of U2Si3Pt with its computed PXRD pattern. Radiation: a wavelength of 1.5418 Å. Structure: a structure optimized by DFT (PBE).
Neutral-atom scattering factors, no anomalous dispersion.

Unit cell a=3.8166 b=4.1572 c=7.0919 alpha=90.00 beta=90.00 gamma=90.00
Fractional coordinates of all 6 atoms:
U  0.0000  0.0000  0.0000
U  0.0000  0.5000  0.4835
Si  0.5000  0.0000  0.3236
Si  0.5000  0.0000  0.6511
Si  0.5000  0.5000  0.1661
Pt  0.5000  0.5000  0.8254

The 10 most intense peaks (5° ≤ 2θ ≤ 70°), by angle:
Position (°2θ)	d_spacing	I_rel
12.48	7.092	14
24.83	3.586	35
25.11	3.546	17
34.31	2.614	100
34.53	2.598	49
43.54	2.079	19
44.07	2.055	36
47.66	1.908	14
56.72	1.623	24
66.91	1.398	21

Record 6
This entry pairs a crystal structure of U6Si19Pt30 with its computed PXRD pattern. Radiation: a wavelength of 1.5418 Å. Structure: a structure optimized by DFT (PBE).
Neutral-atom scattering factors, no anomalous dispersion.

Unit cell a=16.1128 b=16.1128 c=4.0005 alpha=90.00 beta=90.00 gamma=120.00
Fractional coordinates of all 55 atoms:
U  0.0986  0.7035  0.2487
U  0.2965  0.3952  0.2487
U  0.3952  0.0986  0.7513
U  0.6048  0.9014  0.2487
U  0.7035  0.6048  0.7513
U  0.9014  0.2965  0.7513
Si  0.0000  0.0000  0.5000
Si  0.0609  0.4344  0.2501
Si  0.1201  0.8646  0.7489
Si  0.1354  0.2555  0.7489
Si  0.2371  0.6816  0.7495
Si  0.2555  0.1201  0.2511
Si  0.3184  0.5555  0.7495
Si  0.3735  0.9391  0.2501
Si  0.4344  0.3735  0.7499
Si  0.4445  0.7629  0.7495
Si  0.5555  0.2371  0.2505
Si  0.5656  0.6265  0.2501
Si  0.6265  0.0609  0.7499
Si  0.6816  0.4445  0.2505
Si  0.7445  0.8799  0.7489
Si  0.7629  0.3184  0.2505
Si  0.8646  0.7445  0.2511
Si  0.8799  0.1354  0.2511
Si  0.9391  0.5656  0.7499
Pt  0.0285  0.8769  0.2419
Pt  0.0375  0.2766  0.2481
Pt  0.0766  0.5447  0.7497
Pt  0.1231  0.1515  0.2419
Pt  0.1515  0.0285  0.7581
Pt  0.1595  0.4148  0.7491
Pt  0.2259  0.5701  0.2499
Pt  0.2392  0.9625  0.2481
Pt  0.2553  0.8405  0.7491
Pt  0.2766  0.2392  0.7519
Pt  0.3442  0.7741  0.2499
Pt  0.4148  0.2553  0.2509
Pt  0.4299  0.6558  0.2499
Pt  0.4553  0.5319  0.7497
Pt  0.4681  0.9234  0.7497
Pt  0.5319  0.0766  0.2503
Pt  0.5447  0.4681  0.2503
Pt  0.5701  0.3442  0.7501
Pt  0.5852  0.7447  0.7491
Pt  0.6558  0.2259  0.7501
Pt  0.7234  0.7608  0.2481
Pt  0.7447  0.1595  0.2509
Pt  0.7608  0.0375  0.7519
Pt  0.7741  0.4299  0.7501
Pt  0.8405  0.5852  0.2509
Pt  0.8485  0.9715  0.2419
Pt  0.8769  0.8485  0.7581
Pt  0.9234  0.4553  0.2503
Pt  0.9625  0.7234  0.7519
Pt  0.9715  0.1231  0.7581

The 10 most intense peaks (5° ≤ 2θ ≤ 70°), by angle:
Position (°2θ)	d_spacing	I_rel
27.87	3.201	21
27.99	3.187	10
34.10	2.629	8
35.93	2.500	100
40.38	2.234	8
45.34	2.000	17
45.51	1.993	12
49.30	1.848	17
62.50	1.486	8
69.21	1.357	12